Theoretical powder diffraction line list
Compound: SrCuAsO4
Radiation: Cu Kα (λ = 1.5418 Å)
Structure: a DFT-relaxed cell (GGA-PBE, Alexandria)

Largest 10 diffraction maxima, by intensity, 10 to 90 degrees two-theta:
Position (°2θ)	I_rel
33.46	100
19.83	65
56.72	41
30.99	40
44.40	25
61.32	20
37.07	16
21.78	12
73.38	10
70.30	9

Atomic structure:
```
data_SrCuAsO4
_chemical_formula_sum 'Sr2 Cu2 As2 O8'
_cell_length_a 5.771
_cell_length_b 5.771
_cell_length_c 7.100
_cell_angle_alpha 90.00
_cell_angle_beta 90.00
_cell_angle_gamma 90.00
_symmetry_space_group_name_H-M 'P 1'
_symmetry_Int_Tables_number 1
loop_
_symmetry_equiv_pos_as_xyz
'x,y,z'
loop_
_atom_site_label
_atom_site_fract_x
_atom_site_fract_y
_atom_site_fract_z
_atom_site_occupancy
Sr1 0.000 0.000 0.000 1
Sr2 0.500 0.500 0.500 1
Cu1 0.000 0.000 0.500 1
Cu2 0.500 0.500 0.000 1
As1 0.000 0.500 0.250 1
As2 0.500 0.000 0.750 1
O1 0.151 0.706 0.379 1
O2 0.206 0.349 0.121 1
O3 0.294 0.151 0.621 1
O4 0.349 0.794 0.879 1
O5 0.651 0.206 0.879 1
O6 0.706 0.849 0.621 1
O7 0.794 0.651 0.121 1
O8 0.849 0.294 0.379 1
```



Theoretical powder diffraction line list
Compound: Ga4GePb4S12
Radiation: Cu Kα (λ = 1.5418 Å)
Structure: a DFT-relaxed cell (GGA-PBE, Alexandria)

Largest 10 diffraction maxima, by intensity, 10 to 90 degrees two-theta:
Position (°2θ)	I_rel
29.36	100
25.12	48
20.94	43
26.06	34
38.21	33
45.56	32
40.29	32
19.76	31
70.42	15
35.46	14

Atomic structure:
```
data_Ga4GePb4S12
_chemical_formula_sum 'Ga8 Ge2 Pb8 S24'
_cell_length_a 12.910
_cell_length_b 12.910
_cell_length_c 6.255
_cell_angle_alpha 90.00
_cell_angle_beta 90.00
_cell_angle_gamma 90.00
_symmetry_space_group_name_H-M 'P 1'
_symmetry_Int_Tables_number 1
loop_
_symmetry_equiv_pos_as_xyz
'x,y,z'
loop_
_atom_site_label
_atom_site_fract_x
_atom_site_fract_y
_atom_site_fract_z
_atom_site_occupancy
Ga1 0.148 0.236 0.042 1
Ga2 0.236 0.852 0.958 1
Ga3 0.264 0.352 0.542 1
Ga4 0.352 0.736 0.458 1
Ga5 0.648 0.264 0.458 1
Ga6 0.736 0.648 0.542 1
Ga7 0.764 0.148 0.958 1
Ga8 0.852 0.764 0.042 1
Ge1 0.000 0.000 0.000 1
Ge2 0.500 0.500 0.500 1
Pb1 0.007 0.683 0.597 1
Pb2 0.183 0.507 0.097 1
Pb3 0.317 0.007 0.403 1
Pb4 0.493 0.183 0.903 1
Pb5 0.507 0.817 0.903 1
Pb6 0.683 0.993 0.403 1
Pb7 0.817 0.493 0.097 1
Pb8 0.993 0.317 0.597 1
S1 0.019 0.360 0.036 1
S2 0.092 0.903 0.771 1
S3 0.097 0.092 0.229 1
S4 0.140 0.481 0.536 1
S5 0.188 0.206 0.688 1
S6 0.206 0.812 0.312 1
S7 0.294 0.312 0.188 1
S8 0.312 0.706 0.812 1
S9 0.360 0.981 0.964 1
S10 0.403 0.592 0.271 1
S11 0.408 0.403 0.729 1
S12 0.481 0.860 0.464 1
S13 0.519 0.140 0.464 1
S14 0.592 0.597 0.729 1
S15 0.597 0.408 0.271 1
S16 0.640 0.019 0.964 1
S17 0.688 0.294 0.812 1
S18 0.706 0.688 0.188 1
S19 0.794 0.188 0.312 1
S20 0.812 0.794 0.688 1
S21 0.860 0.519 0.536 1
S22 0.903 0.908 0.229 1
S23 0.908 0.097 0.771 1
S24 0.981 0.640 0.036 1
```



Theoretical powder diffraction line list
Compound: Dy7CoI12
Radiation: Cu Kα (λ = 1.5418 Å)
Structure: a DFT-relaxed cell (GGA-PBE, Alexandria)

Largest 10 diffraction maxima, by intensity, 10 to 90 degrees two-theta:
Position (°2θ)	I_rel
28.80	100
41.64	36
40.73	33
11.31	31
51.41	17
68.22	12
10.38	12
25.05	11
66.92	11
59.66	11

Atomic structure:
```
data_Dy7CoI12
_chemical_formula_sum 'Dy7 Co1 I12'
_cell_length_a 9.743
_cell_length_b 9.743
_cell_length_c 9.743
_cell_angle_alpha 106.78
_cell_angle_beta 106.78
_cell_angle_gamma 106.78
_symmetry_space_group_name_H-M 'P 1'
_symmetry_Int_Tables_number 1
loop_
_symmetry_equiv_pos_as_xyz
'x,y,z'
loop_
_atom_site_label
_atom_site_fract_x
_atom_site_fract_y
_atom_site_fract_z
_atom_site_occupancy
Dy1 0.000 0.000 0.000 1
Dy2 0.213 0.408 0.479 1
Dy3 0.408 0.479 0.213 1
Dy4 0.479 0.213 0.408 1
Dy5 0.521 0.787 0.592 1
Dy6 0.592 0.521 0.787 1
Dy7 0.787 0.592 0.521 1
Co1 0.500 0.500 0.500 1
I1 0.037 0.339 0.115 1
I2 0.115 0.037 0.339 1
I3 0.176 0.724 0.570 1
I4 0.276 0.430 0.824 1
I5 0.339 0.115 0.037 1
I6 0.430 0.824 0.276 1
I7 0.570 0.176 0.724 1
I8 0.661 0.885 0.963 1
I9 0.724 0.570 0.176 1
I10 0.824 0.276 0.430 1
I11 0.885 0.963 0.661 1
I12 0.963 0.661 0.885 1
```



Theoretical powder diffraction line list
Compound: Cs6ScTe4
Radiation: Cu Kα (λ = 1.5418 Å)
Structure: a DFT-relaxed cell (GGA-PBE, Alexandria)

Largest 10 diffraction maxima, by intensity, 10 to 90 degrees two-theta:
Position (°2θ)	I_rel
25.67	100
24.40	91
27.23	75
29.45	54
47.91	31
30.22	26
44.20	25
29.66	25
20.99	18
44.83	18

Atomic structure:
```
data_Cs6ScTe4
_chemical_formula_sum 'Cs12 Sc2 Te8'
_cell_length_a 12.131
_cell_length_b 12.131
_cell_length_c 9.248
_cell_angle_alpha 90.00
_cell_angle_beta 90.00
_cell_angle_gamma 120.00
_symmetry_space_group_name_H-M 'P 1'
_symmetry_Int_Tables_number 1
loop_
_symmetry_equiv_pos_as_xyz
'x,y,z'
loop_
_atom_site_label
_atom_site_fract_x
_atom_site_fract_y
_atom_site_fract_z
_atom_site_occupancy
Cs1 0.059 0.530 0.000 1
Cs2 0.134 0.269 0.312 1
Cs3 0.134 0.866 0.312 1
Cs4 0.269 0.134 0.812 1
Cs5 0.470 0.530 0.000 1
Cs6 0.470 0.941 0.000 1
Cs7 0.530 0.059 0.500 1
Cs8 0.530 0.470 0.500 1
Cs9 0.731 0.866 0.312 1
Cs10 0.866 0.134 0.812 1
Cs11 0.866 0.731 0.812 1
Cs12 0.941 0.470 0.500 1
Sc1 0.333 0.667 0.603 1
Sc2 0.667 0.333 0.103 1
Te1 0.206 0.413 0.702 1
Te2 0.206 0.794 0.702 1
Te3 0.333 0.667 0.298 1
Te4 0.413 0.206 0.202 1
Te5 0.587 0.794 0.702 1
Te6 0.667 0.333 0.798 1
Te7 0.794 0.206 0.202 1
Te8 0.794 0.587 0.202 1
```